Record 1
Theoretical powder XRD pattern
Compound: Cs3NaAs
Radiation: Cu Ka
Structure: a DFT-relaxed cell (PBE, Alexandria)

The 12 most intense peaks (2θ from 10° to 90°), in order of falling intensity:
index	2θ/deg	I_rel
1 1 -3	23.51	100
2 2 -2	28.02	94
2 2 0	26.47	89
2 1 1	23.68	80
1 1 3	27.42	72
0 3 1	28.68	50
2 2 -1	26.23	48
2 1 -3	26.99	42
4 0 -2	37.62	40
1 0 -4	28.50	38
0 3 2	31.42	29
1 3 -5	45.79	28

Crystal structure
a b c (Å): 9.675 9.653 12.580
angles (deg): 90.00 103.60 90.00
Space group P2_1/c (No. 14)
One atom of each set of equivalent atoms:
Cs 0.110 0.143 0.417 [4 per cell]
Cs 0.186 0.537 0.636 [4 per cell]
Cs 0.260 0.018 0.760 [4 per cell]
Na 0.371 0.665 0.959 [4 per cell]
As 0.077 0.739 0.870 [4 per cell]



Record 2
Theoretical powder XRD pattern
Compound: HfZr6Sb3
Radiation: Cu Ka
Structure: a DFT-relaxed cell (PBE, Alexandria)

The 12 most intense peaks (2θ from 10° to 90°), in order of falling intensity:
index	2θ/deg	I_rel
3 1 2	35.13	100
2 4 1	37.18	72
3 3 1	35.91	60
0 2 3	39.29	58
0 4 1	33.27	31
2 2 2	32.82	28
1 3 2	34.38	25
3 1 1	28.20	22
4 0 0	32.60	20
1 5 1	41.75	19
1 1 0	11.12	19
4 2 0	36.22	18

Crystal structure
a b c (Å): 10.987 11.543 7.497
angles (deg): 90.00 90.00 90.00
Space group Cmc2_1 (No. 36)
One atom of each set of equivalent atoms:
Hf 0.000 0.166 0.000 [4 per cell]
Zr 0.000 0.284 0.645 [4 per cell]
Zr 0.000 0.409 0.166 [4 per cell]
Zr 0.147 0.067 0.692 [8 per cell]
Zr 0.240 0.313 0.858 [8 per cell]
Sb 0.000 0.109 0.371 [4 per cell]
Sb 0.182 0.430 0.484 [8 per cell]



Record 3
Theoretical powder XRD pattern
Compound: KCaB12
Radiation: Cu Ka
Structure: a DFT-relaxed cell (PBE, Alexandria)

The 12 most intense peaks (2θ from 10° to 90°), in order of falling intensity:
index	2θ/deg	I_rel
2 2 0	30.20	100
2 2 2	37.21	49
4 2 0	48.65	37
4 4 2	67.09	33
4 0 0	43.24	26
6 2 0	71.26	23
6 4 2	87.14	9
6 2 2	75.32	7
4 2 2	53.64	6
2 0 0	21.23	5
4 4 0	62.80	5
6 4 0	83.24	2

Crystal structure
a b c (Å): 8.370 8.370 8.370
angles (deg): 90.00 90.00 90.00
Space group Fm-3m (No. 225)
One atom of each set of equivalent atoms:
K 0.000 0.000 0.000 [4 per cell]
Ca 0.000 0.000 0.500 [4 per cell]
B 0.100 0.250 0.250 [48 per cell]



Record 4
Theoretical powder XRD pattern
Compound: AlPS2Cl
Radiation: Cu Ka
Structure: a DFT-relaxed cell (PBE, Alexandria)

The 12 most intense peaks (2θ from 10° to 90°), in order of falling intensity:
index	2θ/deg	I_rel
1 1 1	33.42	100
2 0 0	38.97	82
2 0 2	55.86	52
0 0 2	38.40	43
1 0 0	19.20	39
2 2 2	70.20	26
2 2 0	56.29	25
3 1 1	67.06	22
0 0 1	18.93	16
1 1 3	66.29	11
1 0 1	27.09	9
4 0 0	83.68	8

Crystal structure
a b c (Å): 4.623 4.623 4.688
angles (deg): 90.00 90.00 90.00
Space group P4/mmm (No. 123)
One atom of each set of equivalent atoms:
Al 0.000 0.000 0.000 [1 per cell]
P 0.500 0.500 0.500 [1 per cell]
S 0.000 0.500 0.500 [2 per cell]
Cl 0.500 0.500 0.000 [1 per cell]



Record 5
Theoretical powder XRD pattern
Compound: CeTlCO5
Radiation: Cu Ka
Structure: a DFT-relaxed cell (PBE, Alexandria)

The 12 most intense peaks (2θ from 10° to 90°), in order of falling intensity:
index	2θ/deg	I_rel
1 1 -2	24.88	100
1 3 0	32.88	73
2 0 0	28.09	70
1 1 -1	17.45	49
2 4 -2	50.07	35
0 2 1	23.14	35
1 1 -3	35.34	35
0 2 2	31.52	35
1 1 2	34.30	28
3 3 0	52.80	27
1 1 1	24.02	25
3 1 -2	41.17	24

Crystal structure
a b c (Å): 6.917 9.046 7.938
angles (deg): 90.00 113.28 90.00
Space group C2/c (No. 15)
One atom of each set of equivalent atoms:
Ce 0.000 0.000 0.000 [4 per cell]
Tl 0.000 0.348 0.250 [4 per cell]
C 0.000 0.316 0.750 [4 per cell]
O 0.000 0.090 0.250 [4 per cell]
O 0.084 0.226 0.649 [8 per cell]
O 0.157 0.406 0.876 [8 per cell]



Record 6
Theoretical powder XRD pattern
Compound: Li3Tb3UTe8
Radiation: Cu Ka
Structure: a DFT-relaxed cell (PBE, Alexandria)

The 12 most intense peaks (2θ from 10° to 90°), in order of falling intensity:
index	2θ/deg	I_rel
0 2 4	29.03	100
2 2 0	41.41	38
2 0 8	41.62	38
0 0 3	12.52	36
0 2 1	23.93	27
4 0 4	51.36	20
2 4 4	68.02	18
2 2 12	68.32	17
2 0 5	31.72	14
4 2 8	75.67	13
0 4 8	60.16	13
2 2 3	43.43	10

Crystal structure
a b c (Å): 8.7216 8.7216 21.2093
angles (deg): 90.00 90.00 120.00
Space group R-3m (No. 166, hexagonal axes)
One atom of each set of equivalent atoms:
Li 0.0000 0.5000 0.0000 [9 per cell]
Tb 0.0000 0.5000 0.5000 [9 per cell]
U 0.0000 0.0000 0.5000 [3 per cell]
Te 0.0000 0.0000 0.2522 [6 per cell]
Te 0.0018 0.5009 0.2508 [18 per cell]



Record 7
Theoretical powder XRD pattern
Compound: Zr3Fe2Co7
Radiation: Cu Ka
Structure: a DFT-relaxed cell (PBE, Alexandria)

The 12 most intense peaks (2θ from 10° to 90°), in order of falling intensity:
index	2θ/deg	I_rel
1 1 6	43.69	100
1 1 0	36.92	34
0 2 1	43.07	33
0 1 8	37.14	30
0 3 6	71.24	27
2 0 5	47.20	24
1 0 7	34.00	23
2 2 0	78.59	20
0 0 12	46.06	16
0 1 11	47.47	13
0 2 4	45.68	12
1 2 8	66.67	9

Crystal structure
a b c (Å): 4.8693 4.8693 23.6466
angles (deg): 90.00 90.00 120.00
Space group R-3m (No. 166, hexagonal axes)
One atom of each set of equivalent atoms:
Zr 0.0000 0.0000 0.0000 [3 per cell]
Zr 0.0000 0.0000 0.1387 [6 per cell]
Fe 0.0000 0.0000 0.3353 [6 per cell]
Co 0.0000 0.0000 0.5000 [3 per cell]
Co 0.0060 0.5030 0.9163 [18 per cell]



Record 8
Theoretical powder XRD pattern
Compound: MgSn3
Radiation: Cu Ka
Structure: a DFT-relaxed cell (PBE, Alexandria)

The 12 most intense peaks (2θ from 10° to 90°), in order of falling intensity:
index	2θ/deg	I_rel
1 1 1	32.93	100
2 0 0	38.21	50
3 1 1	65.75	43
2 2 0	55.15	36
1 0 0	18.84	17
1 1 0	26.76	15
2 2 2	69.07	12
2 1 0	42.93	9
2 1 1	47.27	7
4 0 0	81.78	6
3 0 0	58.81	5
3 2 1	75.52	4

Crystal structure
a b c (Å): 4.710 4.710 4.710
angles (deg): 90.00 90.00 90.00
Space group Pm-3m (No. 221)
One atom of each set of equivalent atoms:
Mg 0.000 0.000 0.000 [1 per cell]
Sn 0.000 0.500 0.500 [3 per cell]



Record 9
Theoretical powder XRD pattern
Compound: PuMg2Zr
Radiation: Cu Ka
Structure: a DFT-relaxed cell (PBE, Alexandria)

The 12 most intense peaks (2θ from 10° to 90°), in order of falling intensity:
index	2θ/deg	I_rel
1 0 2	34.29	100
0 0 2	17.98	64
1 0 0	28.96	41
1 1 0	41.41	30
1 1 2	45.48	25
2 1 2	70.97	24
1 1 4	56.31	24
1 0 4	47.18	23
0 0 4	36.41	21
1 0 1	30.37	20
1 0 6	64.17	16
2 0 4	72.26	11

Crystal structure
a b c (Å): 3.083 3.083 9.869
angles (deg): 90.00 90.00 90.00
Space group P4/mmm (No. 123)
One atom of each set of equivalent atoms:
Pu 0.000 0.000 0.000 [1 per cell]
Mg 0.500 0.500 0.264 [2 per cell]
Zr 0.000 0.000 0.500 [1 per cell]



Record 10
Theoretical powder XRD pattern
Compound: Rb3I6Br
Radiation: Cu Ka
Structure: a DFT-relaxed cell (PBE, Alexandria)

The 12 most intense peaks (2θ from 10° to 90°), in order of falling intensity:
index	2θ/deg	I_rel
2 0 2	23.64	100
2 2 0	26.60	81
2 2 4	39.64	49
4 2 2	45.22	35
4 0 0	37.97	31
0 0 4	28.85	29
4 0 4	48.38	27
1 1 0	13.21	22
6 2 4	69.71	18
6 2 0	61.91	14
4 4 4	63.09	12
4 4 0	54.78	10

Crystal structure
a b c (Å): 9.479 9.479 12.378
angles (deg): 90.00 90.00 90.00
Space group I4/mmm (No. 139)
One atom of each set of equivalent atoms:
Rb 0.000 0.000 0.000 [2 per cell]
Rb 0.000 0.500 0.250 [4 per cell]
I 0.000 0.000 0.279 [4 per cell]
I 0.244 0.244 0.500 [8 per cell]
Br 0.000 0.000 0.500 [2 per cell]



Record 11
Theoretical powder XRD pattern
Compound: KH3S2O8
Radiation: Cu Ka
Structure: a DFT-relaxed cell (PBE, Alexandria)

The 12 most intense peaks (2θ from 10° to 90°), in order of falling intensity:
index	2θ/deg	I_rel
0 2 2	26.51	100
1 2 0	19.60	88
2 1 0	25.70	61
1 2 -2	25.46	45
2 1 -2	26.81	41
1 1 1	20.63	40
1 1 -2	21.65	32
1 3 -1	26.41	31
0 4 0	30.86	28
1 0 2	28.70	25
2 2 -1	27.42	22
2 1 -1	23.91	19

Crystal structure
a b c (Å): 7.874 11.586 8.950
angles (deg): 90.00 112.71 90.00
Space group P2_1/c (No. 14)
One atom of each set of equivalent atoms:
K 0.150 0.245 0.059 [4 per cell]
H 0.233 0.585 0.489 [4 per cell]
H 0.239 0.618 0.849 [4 per cell]
H 0.347 0.569 0.197 [4 per cell]
S 0.071 0.501 0.264 [4 per cell]
S 0.424 0.706 0.065 [4 per cell]
O 0.032 0.608 0.754 [4 per cell]
O 0.042 0.105 0.277 [4 per cell]
O 0.194 0.504 0.452 [4 per cell]
O 0.196 0.009 0.676 [4 per cell]
O 0.263 0.722 0.544 [4 per cell]
O 0.379 0.629 0.913 [4 per cell]
O 0.404 0.236 0.905 [4 per cell]
O 0.460 0.623 0.209 [4 per cell]